No. 1
Theoretical powder XRD pattern
Compound: MgMn6O10F2
Radiation: Cu Kα
Structure: a structure optimized by DFT (PBE+U)
Peak positions follow from Bragg's law for the DFT cell and can differ from measured ones.

Cell and atoms:
Unit cell a=5.6927 b=5.8993 c=7.6786 alpha=107.63 beta=98.22 gamma=112.17
Space group P1 (No. 1)
Inequivalent atoms, fractional coordinates:
Mg  0.0000  0.0000  0.0000 [1 per cell]
Mn  0.0002  0.9845  0.4905 [1 per cell]
Mn  0.3460  0.5050  0.3550 [1 per cell]
Mn  0.3842  0.9856  0.8436 [1 per cell]
Mn  0.6446  0.9933  0.1878 [1 per cell]
Mn  0.6927  0.4364  0.6382 [1 per cell]
Mn  0.9892  0.5294  0.0363 [1 per cell]
O  0.0410  0.6853  0.8406 [1 per cell]
O  0.3185  0.2899  0.5041 [1 per cell]
O  0.3580  0.6911  0.1831 [1 per cell]
O  0.4165  0.1416  0.1067 [1 per cell]
O  0.5954  0.8395  0.9119 [1 per cell]
O  0.6603  0.2872  0.8372 [1 per cell]
O  0.7130  0.6692  0.4988 [1 per cell]
O  0.7727  0.1518  0.4595 [1 per cell]
O  0.8917  0.8340  0.2002 [1 per cell]
O  0.9734  0.3059  0.1823 [1 per cell]
F  0.1212  0.1403  0.8026 [1 per cell]
F  0.2539  0.8197  0.5571 [1 per cell]

Peak list (6 most intense, 5° ≤ 2θ ≤ 70°, in order of rising 2θ)
23.5 deg, rel. 100, hkl -1 1 1
27.6 deg, rel. 70, hkl 1 1 -1
35.2 deg, rel. 43, hkl 1 0 2
35.6 deg, rel. 17, hkl 0 1 -3
35.7 deg, rel. 30, hkl 0 2 0
50.1 deg, rel. 16, hkl 3 -2 0

***

No. 2
Theoretical powder XRD pattern
Compound: MgMn6O10F2
Radiation: Cu Kα
Structure: a structure optimized by DFT (PBE+U)
Peak positions follow from Bragg's law for the DFT cell and can differ from measured ones.

Cell and atoms:
Unit cell a=5.0882 b=2.9790 c=14.1160 alpha=90.00 beta=97.87 gamma=90.00
Space group Pm (No. 6)
Inequivalent atoms, fractional coordinates:
Mg  0.0000  0.0000  0.0000 [1 per cell]
Mn  0.0511  0.5000  0.5252 [1 per cell]
Mn  0.0570  0.5000  0.1969 [1 per cell]
Mn  0.1472  0.5000  0.8129 [1 per cell]
Mn  0.5010  0.0000  0.0456 [1 per cell]
Mn  0.6004  0.0000  0.6691 [1 per cell]
Mn  0.6120  0.0000  0.3434 [1 per cell]
O  0.2441  0.5000  0.0752 [1 per cell]
O  0.2593  0.0000  0.9056 [1 per cell]
O  0.2689  0.0000  0.2517 [1 per cell]
O  0.2722  0.0000  0.5767 [1 per cell]
O  0.4544  0.5000  0.7346 [1 per cell]
O  0.7551  0.5000  0.6066 [1 per cell]
O  0.7664  0.5000  0.2823 [1 per cell]
O  0.8518  0.0000  0.1287 [1 per cell]
O  0.9087  0.0000  0.4441 [1 per cell]
O  0.9273  0.0000  0.7622 [1 per cell]
F  0.4447  0.5000  0.4079 [1 per cell]
F  0.7498  0.5000  0.9612 [1 per cell]

Peak list (6 most intense, 5° ≤ 2θ ≤ 70°, in order of rising 2θ)
24.2 deg, rel. 92, hkl 1 0 -3
27.8 deg, rel. 100, hkl 1 0 3
35.0 deg, rel. 45, hkl 1 1 0
35.8 deg, rel. 60, hkl 0 1 3
53.4 deg, rel. 36, hkl 2 1 3
55.1 deg, rel. 33, hkl 1 1 6

***

No. 3
Theoretical powder XRD pattern
Compound: MgMn12O14F10
Radiation: Cu Kα
Structure: a structure optimized by DFT (PBE+U)
Peak positions follow from Bragg's law for the DFT cell and can differ from measured ones.

Cell and atoms:
Unit cell a=4.8511 b=5.7882 c=15.1752 alpha=92.70 beta=90.80 gamma=91.00
Space group P1 (No. 1)
Inequivalent atoms, fractional coordinates:
Mg  0.0000  0.0000  0.0000 [1 per cell]
Mn  0.0131  0.4576  0.6524 [1 per cell]
Mn  0.0217  0.4761  0.9835 [1 per cell]
Mn  0.4942  0.9679  0.6614 [1 per cell]
Mn  0.5078  0.9225  0.3363 [1 per cell]
Mn  0.5086  0.2679  0.4981 [1 per cell]
Mn  0.5099  0.2185  0.1650 [1 per cell]
Mn  0.5151  0.7379  0.9947 [1 per cell]
Mn  0.5475  0.2665  0.8400 [1 per cell]
Mn  0.9459  0.7461  0.1681 [1 per cell]
Mn  0.9547  0.4360  0.3293 [1 per cell]
Mn  0.9912  0.7385  0.4856 [1 per cell]
Mn  0.9991  0.8107  0.8098 [1 per cell]
O  0.1811  0.7238  0.0594 [1 per cell]
O  0.1982  0.6998  0.3824 [1 per cell]
O  0.2168  0.4891  0.5468 [1 per cell]
O  0.2227  0.7437  0.7098 [1 per cell]
O  0.3474  0.5059  0.9089 [1 per cell]
O  0.7010  0.9397  0.0900 [1 per cell]
O  0.7074  0.0095  0.7693 [1 per cell]
O  0.7068  0.2294  0.6077 [1 per cell]
O  0.7108  0.9726  0.4420 [1 per cell]
O  0.7198  0.1852  0.2789 [1 per cell]
O  0.7330  0.6910  0.2699 [1 per cell]
O  0.7670  0.4842  0.4368 [1 per cell]
O  0.8302  0.2356  0.9264 [1 per cell]
O  0.8358  0.7369  0.9245 [1 per cell]
F  0.1691  0.4557  0.2172 [1 per cell]
F  0.2198  0.2346  0.0617 [1 per cell]
F  0.2452  0.9848  0.5525 [1 per cell]
F  0.2608  0.9535  0.2272 [1 per cell]
F  0.2660  0.2058  0.3878 [1 per cell]
F  0.2664  0.2457  0.7407 [1 per cell]
F  0.2988  0.9814  0.9041 [1 per cell]
F  0.7227  0.4691  0.0858 [1 per cell]
F  0.7649  0.7310  0.5945 [1 per cell]
F  0.7920  0.5021  0.7619 [1 per cell]

Peak list (6 most intense, 5° ≤ 2θ ≤ 70°, in order of rising 2θ)
23.7 deg, rel. 38, hkl 1 -1 0
24.2 deg, rel. 35, hkl 1 1 0
29.4 deg, rel. 100, hkl 1 1 -3
30.0 deg, rel. 53, hkl -1 1 3
30.6 deg, rel. 43, hkl 1 1 3
51.9 deg, rel. 28, hkl 2 0 -6

***

No. 4
Theoretical powder XRD pattern
Compound: MgMn5O7F
Radiation: Cu Kα
Structure: a structure optimized by DFT (PBE+U)
Peak positions follow from Bragg's law for the DFT cell and can differ from measured ones.

Cell and atoms:
Unit cell a=6.1729 b=6.1729 c=15.2817 alpha=90.00 beta=90.00 gamma=120.00
Space group R3m (No. 160, hexagonal axes)
Inequivalent atoms, fractional coordinates:
Mg  0.0000  0.0000  0.0000 [3 per cell]
Mn  0.0000  0.0000  0.3965 [3 per cell]
Mn  0.0000  0.0000  0.7832 [3 per cell]
Mn  0.1721  0.3443  0.2348 [9 per cell]
O  0.0000  0.0000  0.6510 [3 per cell]
O  0.0351  0.5175  0.1631 [9 per cell]
O  0.1823  0.3646  0.9643 [9 per cell]
F  0.0000  0.0000  0.1288 [3 per cell]

Peak list (6 most intense, 5° ≤ 2θ ≤ 70°, in order of rising 2θ)
17.6 deg, rel. 26, hkl 1 0 1
33.8 deg, rel. 26, hkl 0 1 5
34.0 deg, rel. 100, hkl 1 1 3
41.2 deg, rel. 46, hkl 0 2 4
59.5 deg, rel. 26, hkl 2 0 8
59.9 deg, rel. 33, hkl 2 2 0

***

No. 5
Theoretical powder XRD pattern
Compound: MgMn6O10F2
Radiation: Cu Kα
Structure: a structure optimized by DFT (PBE+U)
Peak positions follow from Bragg's law for the DFT cell and can differ from measured ones.

Cell and atoms:
Unit cell a=5.1020 b=5.7421 c=7.5269 alpha=81.72 beta=84.26 gamma=80.47
Space group P1 (No. 1)
Inequivalent atoms, fractional coordinates:
Mg  0.0000  0.0000  0.0000 [1 per cell]
Mn  0.0202  0.9989  0.4939 [1 per cell]
Mn  0.0740  0.3769  0.1846 [1 per cell]
Mn  0.5054  0.1579  0.8155 [1 per cell]
Mn  0.5132  0.4976  0.4830 [1 per cell]
Mn  0.5182  0.8277  0.1717 [1 per cell]
Mn  0.9824  0.6221  0.8060 [1 per cell]
O  0.1539  0.3177  0.9231 [1 per cell]
O  0.1709  0.0215  0.2406 [1 per cell]
O  0.1909  0.6831  0.5824 [1 per cell]
O  0.3780  0.5370  0.2584 [1 per cell]
O  0.3816  0.2139  0.5843 [1 per cell]
O  0.6253  0.1152  0.0563 [1 per cell]
O  0.6535  0.7906  0.3891 [1 per cell]
O  0.8607  0.3218  0.4095 [1 per cell]
O  0.8608  0.9679  0.7446 [1 per cell]
O  0.8654  0.6665  0.0637 [1 per cell]
F  0.3508  0.8224  0.9338 [1 per cell]
F  0.6633  0.4873  0.7235 [1 per cell]

Peak list (6 most intense, 5° ≤ 2θ ≤ 70°, in order of rising 2θ)
23.2 deg, rel. 100, hkl 1 1 1
28.0 deg, rel. 68, hkl -1 1 1
35.6 deg, rel. 23, hkl 0 2 -1
35.8 deg, rel. 42, hkl 2 0 0
49.3 deg, rel. 20, hkl 1 3 0
63.6 deg, rel. 25, hkl 0 2 -4

***

No. 6
Theoretical powder XRD pattern
Compound: MgMn5O9F
Radiation: Cu Kα
Structure: a structure optimized by DFT (PBE+U)
Peak positions follow from Bragg's law for the DFT cell and can differ from measured ones.

Cell and atoms:
Unit cell a=5.1419 b=5.2586 c=7.9885 alpha=108.34 beta=100.76 gamma=101.13
Space group P1 (No. 1)
Inequivalent atoms, fractional coordinates:
Mg  0.0000  0.0000  0.0000 [1 per cell]
Mn  0.0839  0.1874  0.6830 [1 per cell]
Mn  0.2973  0.5973  0.0894 [1 per cell]
Mn  0.4964  0.9471  0.4862 [1 per cell]
Mn  0.6963  0.3958  0.8974 [1 per cell]
Mn  0.9011  0.7594  0.2941 [1 per cell]
O  0.0466  0.6002  0.8757 [1 per cell]
O  0.1479  0.8005  0.5149 [1 per cell]
O  0.2218  0.9307  0.2275 [1 per cell]
O  0.3203  0.2384  0.9237 [1 per cell]
O  0.5396  0.6017  0.3114 [1 per cell]
O  0.6644  0.7515  0.0559 [1 per cell]
O  0.7626  0.0510  0.7636 [1 per cell]
O  0.8421  0.1050  0.4470 [1 per cell]
O  0.9791  0.4132  0.1412 [1 per cell]
F  0.4383  0.3384  0.6261 [1 per cell]

Peak list (6 most intense, 5° ≤ 2θ ≤ 70°, in order of rising 2θ)
18.0 deg, rel. 100, hkl 0 1 -1
34.4 deg, rel. 12, hkl 1 0 2
34.6 deg, rel. 11, hkl -1 1 2
41.8 deg, rel. 44, hkl 1 -1 3
43.6 deg, rel. 21, hkl 2 1 -2
61.8 deg, rel. 11, hkl 3 0 1

***

Question: Which formula does entry 6 have?
Answer: MgMn5O9F

***

Question: Number 5 is which compound?
Answer: MgMn6O10F2